No. 1
Diffraction record for K3GaCl6. The powder diffractogram is theoretical, not measured: it uses the PBE geometry in Alexandria and CuKα.
Kinematic intensities with the Lorentz-polarization factor, no thermal factor.

```
K3GaCl6
1.0
7.3157 0.0000 0.0000
0.0000 7.6775 0.0000
-7.3106 0.0000 10.4627
K Ga Cl
6 2 12
direct
0.0000 0.0000 0.0000
0.0000 0.5000 0.5000
0.2246 0.0698 0.7488
0.2246 0.4302 0.2488
0.7754 0.5698 0.7512
0.7754 0.9302 0.2512
0.5000 0.0000 0.5000
0.5000 0.5000 0.0000
0.1847 0.1712 0.4504
0.1847 0.3288 0.9504
0.2753 0.7374 0.4370
0.2753 0.7626 0.9370
0.3932 0.0382 0.2849
0.3932 0.4618 0.7849
0.6068 0.5382 0.2151
0.6068 0.9618 0.7151
0.7247 0.2374 0.0630
0.7247 0.2626 0.5630
0.8153 0.6712 0.0496
0.8153 0.8288 0.5496
```

Peak list (10 most intense, 15° ≤ 2θ ≤ 90°, by intensity)
- 2θ 23.91, I = 1000
- 2θ 42.54, I = 817
- 2θ 28.35, I = 692
- 2θ 33.85, I = 689
- 2θ 16.74, I = 542
- 2θ 34.28, I = 377
- 2θ 38.24, I = 281
- 2θ 38.08, I = 251
- 2θ 48.95, I = 248
- 2θ 30.70, I = 230

---

No. 2
Diffraction record for K2Ga2Cl7. The powder diffractogram is theoretical, not measured: it uses the PBE geometry in Alexandria and CuKα.
Kinematic intensities with the Lorentz-polarization factor, no thermal factor.

```
K2Ga2Cl7
1.0
6.3645 0.0000 0.0000
0.0000 15.5324 0.0000
-1.1194 0.0000 7.8414
K Ga Cl
4 4 14
direct
0.1326 0.1480 0.4059
0.1326 0.3520 0.9059
0.8674 0.6480 0.0941
0.8674 0.8520 0.5941
0.3396 0.6111 0.6538
0.3396 0.8889 0.1538
0.6604 0.1111 0.8462
0.6604 0.3889 0.3462
0.0622 0.6734 0.4864
0.0622 0.8266 0.9864
0.2131 0.5539 0.8857
0.2131 0.9461 0.3857
0.4315 0.2156 0.7370
0.4315 0.2844 0.2370
0.5000 0.0000 0.0000
0.5000 0.5000 0.5000
0.5685 0.7156 0.7630
0.5685 0.7844 0.2630
0.7869 0.0539 0.6143
0.7869 0.4461 0.1143
0.9378 0.1734 0.0136
0.9378 0.3266 0.5136
```

Peak list (10 most intense, 15° ≤ 2θ ≤ 90°, by intensity)
- 2θ 20.31, I = 1000
- 2θ 20.12, I = 912
- 2θ 16.06, I = 570
- 2θ 22.22, I = 443
- 2θ 28.51, I = 352
- 2θ 27.55, I = 218
- 2θ 41.30, I = 215
- 2θ 45.36, I = 197
- 2θ 34.84, I = 174
- 2θ 43.34, I = 158

---

No. 3
Diffraction record for K2GaCl5. The powder diffractogram is theoretical, not measured: it uses the PBE geometry in Alexandria and CuKα.
Kinematic intensities with the Lorentz-polarization factor, no thermal factor.

```
K2GaCl5
1.0
12.0556 0.0000 0.0000
0.0000 12.7119 0.0000
0.0000 0.0000 9.1505
K Ga Cl
8 4 20
direct
0.0000 0.0000 0.2246
0.0000 0.0000 0.7754
0.1425 0.3426 0.0000
0.3575 0.8426 0.5000
0.5000 0.5000 0.2754
0.5000 0.5000 0.7246
0.6425 0.1574 0.5000
0.8575 0.6574 0.0000
0.2419 0.7292 0.0000
0.2581 0.2292 0.5000
0.7419 0.7708 0.5000
0.7581 0.2708 0.0000
0.0917 0.1551 0.5000
0.1184 0.5992 0.0000
0.1223 0.1183 0.0000
0.2181 0.8270 0.1961
0.2181 0.8270 0.8039
0.2819 0.3270 0.3039
0.2819 0.3270 0.6961
0.3777 0.6183 0.5000
0.3816 0.0992 0.5000
0.4083 0.6551 0.0000
0.5917 0.3449 0.0000
0.6184 0.9008 0.5000
0.6223 0.3817 0.5000
0.7181 0.6730 0.3039
0.7181 0.6730 0.6961
0.7819 0.1730 0.1961
0.7819 0.1730 0.8039
0.8777 0.8817 0.0000
0.8816 0.4008 0.0000
0.9083 0.8449 0.5000
```

Peak list (10 most intense, 15° ≤ 2θ ≤ 90°, by intensity)
- 2θ 20.30, I = 1000
- 2θ 25.09, I = 571
- 2θ 19.40, I = 414
- 2θ 41.27, I = 391
- 2θ 39.31, I = 386
- 2θ 25.43, I = 310
- 2θ 25.20, I = 298
- 2θ 37.55, I = 288
- 2θ 24.19, I = 277
- 2θ 39.39, I = 271

---

No. 4
Diffraction record for K2GaCl5. The powder diffractogram is theoretical, not measured: it uses the PBE geometry in Alexandria and CuKα.
Kinematic intensities with the Lorentz-polarization factor, no thermal factor.

```
K2GaCl5
1.0
5.8867 -3.6862 0.0000
5.8867 3.6862 0.0000
-4.6129 0.0000 5.7510
K Ga Cl
2 1 5
direct
0.0000 0.0000 0.0000
0.5000 0.5000 0.4996
0.2882 0.2882 0.7881
0.0129 0.4530 0.9529
0.0139 0.4538 0.5137
0.4530 0.0129 0.9529
0.4538 0.0139 0.5137
0.5281 0.5281 0.0289
```

Peak list (10 most intense, 15° ≤ 2θ ≤ 90°, by intensity)
- 2θ 15.41, I = 1000
- 2θ 34.41, I = 589
- 2θ 31.11, I = 566
- 2θ 25.86, I = 368
- 2θ 45.44, I = 211
- 2θ 53.16, I = 210
- 2θ 28.77, I = 182
- 2θ 49.45, I = 165
- 2θ 39.24, I = 159
- 2θ 31.65, I = 149